Simulated powder diffraction line list
Compound: Dy5Er2Tm
Radiation: CuKα
Structure: DFT lattice parameters and positions (PBE)

Structural model:
```
Dy5Er2Tm
1.0
2.786 -8.111 0.000
2.786 8.111 0.000
0.000 0.000 11.297
Dy Er Tm
10 4 2
Cartesian
2.786 7.366 6.916
2.786 7.366 10.029
2.786 1.726 2.824
2.786 1.429 6.553
2.786 1.429 10.392
2.786 -1.429 0.904
2.786 -1.429 4.744
2.786 -1.726 8.472
2.786 -7.366 1.268
2.786 -7.366 4.381
2.786 4.644 0.904
2.786 4.644 4.744
2.786 -4.644 6.552
2.786 -4.644 10.392
2.786 4.419 8.472
2.786 -4.419 2.824
```

Top 10 peaks for 15 to 90 degrees two-theta, sorted by position:
2θ/deg	I (rel.)
26.09	17
31.92	36
32.13	36
32.92	10
33.15	100
41.85	10
51.17	14
57.93	19
59.11	12
61.71	16

***

Simulated powder diffraction line list
Compound: B4RuRh5
Radiation: CuKα
Structure: DFT lattice parameters and positions (PBE)

Structural model:
```
B4RuRh5
1.0
7.072 -1.445 0.000
7.072 1.445 0.000
-1.109 0.000 5.554
B Ru Rh
4 1 5
Cartesian
0.586 0.000 1.555
5.019 0.000 1.040
8.016 0.000 4.514
12.449 0.000 3.999
7.072 0.000 0.000
2.375 0.000 0.479
1.825 0.000 3.235
6.518 0.000 2.777
11.211 0.000 2.319
10.661 0.000 5.075
```

Top 10 peaks for 15 to 90 degrees two-theta, sorted by position:
2θ/deg	I (rel.)
32.26	54
36.67	100
38.96	42
45.68	18
45.90	20
46.79	58
52.29	13
52.44	11
69.07	15
78.00	21